For ZnCu3P3O13, a structure optimized by DFT (PBE) gives the calculated powder diffractogram in this record (λ = 1.5418 Å (Cu Kα)).
Intensities are scaled so that the largest is 100.

The 10 most intense peaks (2θ = 10–90°), most intense first:
| 2θ/deg | d/Å | I (rel.) | hkl |
| --- | --- | --- | --- |
| 31.61 | 2.831 | 100 | 1 0 3 |
| 19.59 | 4.531 | 85 | 1 0 -2 |
| 23.87 | 3.727 | 81 | 2 0 -1 |
| 29.16 | 3.063 | 75 | 0 2 0 |
| 27.05 | 3.297 | 51 | 2 0 1 |
| 23.34 | 3.811 | 46 | 1 0 2 |
| 40.17 | 2.245 | 44 | 0 2 3 |
| 32.72 | 2.737 | 38 | 2 0 -3 |
| 38.02 | 2.367 | 37 | 2 2 0 |
| 33.51 | 2.674 | 35 | 1 2 1 |

Unit cell a=7.591 b=6.125 c=10.077 alpha=90.00 beta=100.71 gamma=90.00
Sites, in units of the cell vectors:
Zn (0.140, 0.250, 0.176)
Zn (0.860, 0.750, 0.824)
Cu (0.150, 0.250, 0.798)
Cu (0.264, 0.750, 0.432)
Cu (0.500, 0.000, 0.000)
Cu (0.500, 0.500, 0.000)
Cu (0.736, 0.250, 0.568)
Cu (0.850, 0.750, 0.202)
P (0.179, 0.750, 0.114)
P (0.237, 0.750, 0.760)
P (0.290, 0.250, 0.511)
P (0.710, 0.750, 0.489)
P (0.763, 0.250, 0.240)
P (0.821, 0.250, 0.886)
O (0.008, 0.250, 0.977)
O (0.112, 0.562, 0.789)
O (0.112, 0.938, 0.789)
O (0.120, 0.750, 0.256)
O (0.147, 0.250, 0.601)
O (0.250, 0.061, 0.405)
O (0.250, 0.439, 0.405)
O (0.284, 0.535, 0.106)
O (0.284, 0.965, 0.106)
O (0.298, 0.750, 0.626)
O (0.382, 0.250, 0.906)
O (0.410, 0.750, 0.872)
O (0.476, 0.250, 0.599)
O (0.524, 0.750, 0.401)
O (0.590, 0.250, 0.128)
O (0.618, 0.750, 0.094)
O (0.702, 0.250, 0.374)
O (0.716, 0.035, 0.894)
O (0.716, 0.465, 0.894)
O (0.750, 0.561, 0.595)
O (0.750, 0.939, 0.595)
O (0.853, 0.750, 0.399)
O (0.880, 0.250, 0.744)
O (0.888, 0.062, 0.211)
O (0.888, 0.438, 0.211)
O (0.992, 0.750, 0.023)

---

For CsMg14BiO16, a structure optimized by DFT (PBE) gives the calculated powder diffractogram in this record (λ = 1.5418 Å (Cu Kα)).
Intensities are scaled so that the largest is 100.

The 10 most intense peaks (2θ = 10–90°), most intense first:
| 2θ/deg | d/Å | I (rel.) | hkl |
| --- | --- | --- | --- |
| 40.44 | 2.231 | 100 | 4 0 0 |
| 14.04 | 6.309 | 90 | 1 1 0 |
| 24.03 | 3.704 | 69 | 1 1 1 |
| 34.54 | 2.597 | 67 | 2 2 1 |
| 57.73 | 1.597 | 64 | 4 0 2 |
| 19.90 | 4.461 | 58 | 2 0 0 |
| 39.39 | 2.287 | 56 | 0 0 2 |
| 27.93 | 3.194 | 51 | 2 0 1 |
| 37.45 | 2.402 | 47 | 3 1 1 |
| 31.71 | 2.822 | 45 | 3 1 0 |

Unit cell a=8.923 b=8.923 c=4.575 alpha=90.00 beta=90.00 gamma=90.00
Sites, in units of the cell vectors:
Cs (0.000, 0.000, 0.000)
Mg (0.000, 0.259, 0.500)
Mg (0.000, 0.500, 0.000)
Mg (0.000, 0.741, 0.500)
Mg (0.235, 0.500, 0.500)
Mg (0.245, 0.245, 0.000)
Mg (0.245, 0.755, 0.000)
Mg (0.259, 0.000, 0.500)
Mg (0.500, 0.000, 0.000)
Mg (0.500, 0.235, 0.500)
Mg (0.500, 0.765, 0.500)
Mg (0.741, 0.000, 0.500)
Mg (0.755, 0.245, 0.000)
Mg (0.755, 0.755, 0.000)
Mg (0.765, 0.500, 0.500)
Bi (0.500, 0.500, 0.000)
O (0.000, 0.000, 0.500)
O (0.000, 0.286, 0.000)
O (0.000, 0.500, 0.500)
O (0.000, 0.714, 0.000)
O (0.240, 0.500, 0.000)
O (0.252, 0.252, 0.500)
O (0.252, 0.748, 0.500)
O (0.286, 0.000, 0.000)
O (0.500, 0.000, 0.500)
O (0.500, 0.240, 0.000)
O (0.500, 0.500, 0.500)
O (0.500, 0.760, 0.000)
O (0.714, 0.000, 0.000)
O (0.748, 0.252, 0.500)
O (0.748, 0.748, 0.500)
O (0.760, 0.500, 0.000)